Record 1
This entry pairs a crystal structure of K2Si4O9 with its simulated XRD peak list. Radiation: a wavelength of 1.5418 Å. Structure: a crystal structure in the Materials Project, relaxed with PBE.

Crystal structure
```
K2Si4O9
1.0
5.001 0.000 0.000
0.148 8.516 0.000
0.089 4.044 11.642
K Si O
4 8 18
direct
0.236 0.435 0.139 K
0.256 0.911 0.651 K
0.744 0.089 0.349 K
0.764 0.565 0.861 K
0.207 0.941 0.146 Si
0.213 0.698 0.399 Si
0.283 0.318 0.448 Si
0.292 0.832 0.936 Si
0.708 0.168 0.064 Si
0.717 0.682 0.552 Si
0.787 0.302 0.601 Si
0.793 0.059 0.854 Si
0.095 0.274 0.566 O
0.102 0.993 0.860 O
0.232 0.207 0.370 O
0.243 0.810 0.075 O
0.248 0.520 0.377 O
0.248 0.666 0.908 O
0.284 0.845 0.280 O
0.398 0.102 0.096 O
0.407 0.713 0.501 O
0.593 0.287 0.499 O
0.602 0.898 0.904 O
0.716 0.155 0.720 O
0.752 0.334 0.092 O
0.752 0.480 0.623 O
0.757 0.190 0.925 O
0.768 0.793 0.630 O
0.898 0.007 0.140 O
0.905 0.726 0.434 O
```

Largest 6 diffraction maxima, by angle, 10° ≤ 2θ ≤ 90°:
2θ (°)	I_rel
15.3	953
19.3	738
20.8	872
28.2	847
30.7	598
35.9	1000

***

Record 2
This entry pairs a crystal structure of In3As with its simulated XRD peak list. Radiation: a wavelength of 1.5418 Å. Structure: a crystal structure in the Materials Project, relaxed with PBE.

Crystal structure
```
In3As
1.0
4.672 0.000 0.000
0.000 4.672 0.000
0.000 0.000 4.672
In As
3 1
direct
0.000 0.000 0.500 In
0.000 0.500 0.000 In
0.500 0.000 0.000 In
0.500 0.500 0.500 As
```

Largest 6 diffraction maxima, by angle, 10° ≤ 2θ ≤ 90°:
2θ (°)	I_rel
33.2	1000
38.5	497
55.6	331
66.4	384
69.7	110
82.6	52

***

Record 3
This entry pairs a crystal structure of Hf2InNi2 with its simulated XRD peak list. Radiation: a wavelength of 1.5418 Å. Structure: a crystal structure in the Materials Project, relaxed with PBE.

Crystal structure
```
Hf2InNi2
1.0
7.202 0.000 0.000
0.000 7.202 0.000
0.000 0.000 6.551
Hf In Ni
8 4 8
direct
0.158 0.158 0.000 Hf
0.175 0.175 0.500 Hf
0.325 0.675 0.000 Hf
0.342 0.658 0.500 Hf
0.658 0.342 0.500 Hf
0.675 0.325 0.000 Hf
0.825 0.825 0.500 Hf
0.842 0.842 0.000 Hf
0.000 0.500 0.250 In
0.000 0.500 0.750 In
0.500 0.000 0.250 In
0.500 0.000 0.750 In
0.126 0.874 0.270 Ni
0.126 0.874 0.730 Ni
0.374 0.374 0.230 Ni
0.374 0.374 0.770 Ni
0.626 0.626 0.230 Ni
0.626 0.626 0.770 Ni
0.874 0.126 0.270 Ni
0.874 0.126 0.730 Ni
```

Largest 6 diffraction maxima, by angle, 10° ≤ 2θ ≤ 90°:
2θ (°)	I_rel
27.7	284
37.1	393
39.2	1000
39.6	503
61.5	170
70.9	167